Starting from a GGA+U-relaxed structure, the PXRD pattern of TiFeWO6 was calculated for Cu Kα (λ = 1.5418 Å).
Kinematic intensities with the Lorentz-polarization factor, no thermal factor.

Largest 8 diffraction maxima, by intensity, 10 to 90 degrees two-theta:
h k l	2theta	I_rel
1 1 0	26.50	100
1 0 3	35.16	71
1 0 1	21.08	63
2 1 3	52.59	62
0 0 2	19.56	21
1 1 2	33.15	21
1 1 6	67.93	19
3 0 3	66.58	19

Atomic structure:
```
TiFeWO6
1.0
4.757 0.000 0.000
0.000 4.757 0.000
0.000 0.000 9.075
Ti Fe W O
2 2 2 12
Direct
0.000 0.000 0.000
0.500 0.500 0.500
0.000 0.000 0.673
0.500 0.500 0.173
0.000 0.000 0.340
0.500 0.500 0.840
0.186 0.186 0.174
0.207 0.207 0.488
0.209 0.209 0.851
0.291 0.709 0.351
0.293 0.707 0.988
0.314 0.686 0.674
0.686 0.314 0.674
0.707 0.293 0.988
0.709 0.291 0.351
0.791 0.791 0.851
0.793 0.793 0.488
0.814 0.814 0.174
```